Ac6MgPb5: simulated powder diffractogram (Cu Kα), based on a DFT-relaxed cell (PBE, Alexandria).
Kinematic intensities with the Lorentz-polarization factor, no thermal factor.

Largest 8 diffraction maxima, low angle first, 2θ from 10° to 90°:
29.2°, I 29, hkl 0 6 0; 29.5°, I 29, hkl 2 0 -2; 31.1°, I 100, hkl 1 3 1; 42.0°, I 22, hkl 2 6 -2; 53.0°, I 11, hkl 1 9 1; 53.0°, I 11, hkl 3 9 -1; 53.3°, I 23, hkl 5 3 -3; 64.8°, I 12, hkl 6 6 -2

Atomic structure:
a b c (Å): 9.819 18.351 6.058
angles (deg): 90.00 128.04 90.00
Space group C2/m (No. 12)
Asymmetric unit:
Ac1 0.236 0.000 0.235 x4
Ac2 0.244 0.170 0.744 x8
Mg1 0.000 0.500 0.000 x2
Pb1 0.000 0.000 0.500 x2
Pb2 0.000 0.170 0.000 x4
Pb3 0.000 0.343 0.500 x4

KYH8N4: simulated powder diffractogram (Cu Kα), based on a DFT-relaxed cell (PBE, Alexandria).
Kinematic intensities with the Lorentz-polarization factor, no thermal factor.

Largest 8 diffraction maxima, low angle first, 2θ from 10° to 90°:
10.5°, I 31, hkl 0 2 0; 14.9°, I 100, hkl 1 1 0; 16.6°, I 62, hkl 1 1 -1; 21.1°, I 27, hkl 1 3 0; 27.6°, I 27, hkl 1 1 1; 32.5°, I 79, hkl 2 4 -1; 34.6°, I 33, hkl 0 0 2; 45.6°, I 28, hkl 2 4 1

Atomic structure:
a b c (Å): 7.351 16.854 5.998
angles (deg): 90.00 120.12 90.00
Space group C2/c (No. 15)
Asymmetric unit:
K1 0.000 0.197 0.250 x4
Y1 0.000 0.435 0.250 x4
H1 0.140 0.023 0.211 x8
H2 0.142 0.146 0.757 x8
H3 0.152 0.308 0.034 x8
H4 0.213 0.416 0.843 x8
N1 0.210 0.455 0.709 x8
N2 0.212 0.337 0.207 x8

Rb2CuTe: simulated powder diffractogram (Cu Kα), based on a DFT-relaxed cell (PBE, Alexandria).
Kinematic intensities with the Lorentz-polarization factor, no thermal factor.

Largest 8 diffraction maxima, low angle first, 2θ from 10° to 90°:
18.6°, I 22, hkl 1 1 0; 22.6°, I 100, hkl 2 0 2; 25.1°, I 23, hkl 1 1 -2; 29.8°, I 45, hkl 6 0 -2; 31.7°, I 24, hkl 5 1 -2; 40.8°, I 40, hkl 2 2 -2; 41.4°, I 26, hkl 4 2 0; 55.4°, I 22, hkl 6 2 -4

Atomic structure:
a b c (Å): 19.201 4.948 10.215
angles (deg): 90.00 105.43 90.00
Space group C2/c (No. 15)
Asymmetric unit:
Rb1 0.128 0.005 0.065 x8
Cu1 0.000 0.247 0.250 x4
Te1 0.000 0.254 0.750 x4